Theoretical powder X-ray diffraction pattern of Na2Tl2HPd4 for Cu Kα, 1.54184 Å, from a crystal structure in Alexandria, relaxed with PBE.
Intensities are scaled so that the largest is 100.

Structural model:
abc: 6.0192 6.0192 8.2365
angles: 90.00 90.00 90.00
Space group I4/mmm (No. 139)
Symmetry-distinct sites (fractional):
Na 0.0000 0.0000 0.2241 [4 per cell]
Tl 0.0000 0.5000 0.2500 [4 per cell]
H 0.0000 0.0000 0.5000 [2 per cell]
Pd 0.2371 0.2371 0.5000 [8 per cell]

Most intense lines, 2θ = 5–70°, in order of falling intensity:
d [Å]  intensity  (hkl)
2.430  100  2 0 2
2.128  34  2 2 0
4.256  33  1 1 0
2.960  28  1 1 2
1.480  21  2 2 4
2.059  15  0 0 4
1.728  12  3 1 2
1.505  11  4 0 0
1.903  8  3 1 0
1.854  8  1 1 4